Entry 1:
Li2Cr3NiO8: simulated powder diffractogram (Cu Kα X-rays), based on DFT lattice parameters and positions (GGA+U).
No peak broadening, texture or thermal motion is included.

Atomic structure:
```
14
Lattice="2.930 1.692 4.888 -2.930 1.692 4.888 0.000 -3.384 4.888" Properties=species:S:1:pos:R:3 pbc="T T T"
Li 0.000 0.000 0.000
Li 0.000 0.000 5.541
Cr 0.000 -1.666 2.446
Cr -1.442 0.833 2.446
Cr 1.442 0.833 2.446
Ni 0.000 0.000 9.132
O -1.576 -0.910 8.379
O 0.000 0.000 3.535
O 0.000 -1.834 6.336
O -1.588 0.917 6.336
O 1.576 -0.910 8.379
O 0.000 1.820 8.379
O 0.000 0.000 11.154
O 1.588 0.917 6.336
```

Largest 12 diffraction maxima, sorted by position, 2θ = 15–90°:
d/Å	intensity
4.888	100
4.796	23
4.173	58
2.972	55
2.539	25
2.513	62
2.501	90
2.087	57
1.616	36
1.605	19
1.486	40
1.465	42

***

Entry 2:
LiCr3NiS6O24: simulated powder diffractogram (Cu Kα X-rays), based on DFT lattice parameters and positions (GGA+U).
No peak broadening, texture or thermal motion is included.

Atomic structure:
```
35
Lattice="8.285 0.000 0.000 -4.122 7.223 0.000 -4.140 -2.415 7.508" Properties=species:S:1:pos:R:3 pbc="T T T"
Li 0.000 0.000 0.000
Cr -1.718 2.678 1.410
Cr -5.811 5.034 5.250
Cr 2.449 0.276 4.294
Ni 2.404 5.050 0.736
S -3.447 0.225 6.664
S -0.490 -0.016 2.901
S 0.039 5.087 2.930
S 1.213 -1.782 6.696
S 3.641 2.959 2.927
S 1.269 2.325 6.682
O -6.811 3.824 6.573
O -4.892 3.597 4.252
O -4.520 6.293 1.725
O -3.231 3.273 2.582
O -1.928 4.278 0.227
O -0.200 1.994 0.216
O -1.450 1.085 2.640
O -0.939 -0.728 4.111
O -2.313 -0.729 6.525
O -3.015 1.550 7.064
O -4.253 4.844 6.542
O 0.861 0.560 3.106
O -0.417 3.725 2.549
O -1.154 5.954 3.130
O 1.601 -1.131 5.427
O 0.895 5.700 1.905
O -1.913 4.384 7.007
O 2.699 3.429 1.905
O -0.130 2.082 7.023
O 5.269 1.632 0.299
O 1.594 1.735 5.373
O 3.485 1.486 3.076
O 0.752 4.943 4.237
O 4.115 0.295 5.382
```

Largest 12 diffraction maxima, sorted by position, 2θ = 15–90°:
d/Å	intensity
4.435	70
4.163	13
3.641	100
3.627	49
3.037	39
3.024	19
2.787	68
2.780	11
2.453	10
2.398	10
1.736	17
1.733	9

***

Entry 3:
Li4Cr3Ni2Sb3O16: simulated powder diffractogram (Cu Kα X-rays), based on DFT lattice parameters and positions (GGA+U).
No peak broadening, texture or thermal motion is included.

Atomic structure:
```
28
Lattice="5.263 -3.048 0.000 5.263 3.048 0.000 -0.173 0.000 9.802" Properties=species:S:1:pos:R:3 pbc="T T T"
Li 0.000 0.000 0.000
Li 0.005 0.000 5.055
Li 3.591 0.000 4.044
Li 7.055 0.000 8.591
Cr 4.472 1.503 7.104
Cr 4.472 -1.503 7.104
Cr 8.899 0.000 2.222
Ni 3.661 0.000 9.645
Ni 7.191 0.000 5.103
Sb 1.883 0.000 7.105
Sb 6.302 1.508 2.210
Sb 6.302 -1.508 2.210
O 0.144 0.000 3.236
O 0.107 0.000 8.058
O 2.796 1.359 8.291
O 1.782 0.000 1.099
O 4.613 1.608 1.154
O 6.227 1.616 5.991
O 3.597 0.000 6.027
O 2.796 -1.359 8.291
O 5.156 0.000 8.259
O 5.549 0.000 3.363
O 7.936 1.384 3.317
O 7.170 0.000 1.109
O 4.613 -1.608 1.154
O 8.948 0.000 6.025
O 6.227 -1.616 5.991
O 7.936 -1.384 3.317
```

Largest 12 diffraction maxima, sorted by position, 2θ = 15–90°:
d/Å	intensity
5.265	20
4.901	100
4.666	74
4.628	24
3.612	26
2.636	22
2.553	41
2.541	31
2.332	20
2.061	26
2.043	21
1.520	27

***

Entry 4:
Li4Cr3Ni2Sn3O16: simulated powder diffractogram (Cu Kα X-rays), based on DFT lattice parameters and positions (GGA+U).
No peak broadening, texture or thermal motion is included.

Atomic structure:
```
28
Lattice="5.256 -3.030 0.000 5.256 3.030 0.000 -0.069 0.000 9.772" Properties=species:S:1:pos:R:3 pbc="T T T"
Li 0.000 0.000 0.000
Li -0.009 0.000 4.819
Li 3.246 0.000 3.784
Li 6.746 0.000 8.749
Cr 1.563 0.000 6.959
Cr 5.947 1.492 2.078
Cr 5.947 -1.492 2.078
Ni 3.285 0.000 9.663
Ni 6.844 0.000 4.742
Sn 4.151 1.497 6.973
Sn 4.151 -1.497 6.973
Sn 8.544 0.000 2.080
O 2.425 1.314 8.139
O 1.530 0.000 1.137
O 4.349 1.561 0.986
O 6.003 1.614 5.922
O 3.245 0.000 5.825
O 2.425 -1.314 8.139
O 4.863 0.000 8.210
O 7.509 1.384 3.255
O 5.270 0.000 3.140
O 6.769 0.000 0.994
O 4.349 -1.561 0.986
O 8.697 0.000 5.763
O 6.003 -1.614 5.922
O 7.509 -1.384 3.255
O 10.375 0.000 3.049
O 10.368 0.000 7.988
```

Largest 12 diffraction maxima, sorted by position, 2θ = 15–90°:
d/Å	intensity
4.886	100
4.635	44
4.617	67
3.587	25
2.774	25
2.573	41
2.539	48
2.533	47
2.048	26
2.040	37
1.564	27
1.516	45

***

Repeat the fourth record exactly.
Li4Cr3Ni2Sn3O16: simulated powder diffractogram (Cu Kα X-rays), based on DFT lattice parameters and positions (GGA+U).
No peak broadening, texture or thermal motion is included.

Atomic structure:
```
28
Lattice="5.256 -3.030 0.000 5.256 3.030 0.000 -0.069 0.000 9.772" Properties=species:S:1:pos:R:3 pbc="T T T"
Li 0.000 0.000 0.000
Li -0.009 0.000 4.819
Li 3.246 0.000 3.784
Li 6.746 0.000 8.749
Cr 1.563 0.000 6.959
Cr 5.947 1.492 2.078
Cr 5.947 -1.492 2.078
Ni 3.285 0.000 9.663
Ni 6.844 0.000 4.742
Sn 4.151 1.497 6.973
Sn 4.151 -1.497 6.973
Sn 8.544 0.000 2.080
O 2.425 1.314 8.139
O 1.530 0.000 1.137
O 4.349 1.561 0.986
O 6.003 1.614 5.922
O 3.245 0.000 5.825
O 2.425 -1.314 8.139
O 4.863 0.000 8.210
O 7.509 1.384 3.255
O 5.270 0.000 3.140
O 6.769 0.000 0.994
O 4.349 -1.561 0.986
O 8.697 0.000 5.763
O 6.003 -1.614 5.922
O 7.509 -1.384 3.255
O 10.375 0.000 3.049
O 10.368 0.000 7.988
```

Largest 12 diffraction maxima, sorted by position, 2θ = 15–90°:
d/Å	intensity
4.886	100
4.635	44
4.617	67
3.587	25
2.774	25
2.573	41
2.539	48
2.533	47
2.048	26
2.040	37
1.564	27
1.516	45